Computed X-ray diffraction stick pattern of TlTe2MoAuSe for CuKα, from a DFT-relaxed cell (GGA-PBE, OQMD).
Peak positions follow from Bragg's law for the DFT cell and can differ from measured ones.

Top 12 peaks for 15° ≤ 2θ ≤ 90°, in order of rising 2θ:
d (Å)	I_rel
3.094	45
3.001	100
2.684	69
2.596	52
2.324	31
2.302	22
1.978	26
1.892	19
1.731	30
1.682	18
1.667	15
1.573	24

Lattice parameters (Å, degrees): 7.956 7.956 10.384 90.00 90.00 151.20
Positions (direct):
Tl (0.241, 0.759, 0.750)
Tl (0.759, 0.241, 0.250)
Te (0.369, 0.631, 0.024)
Te (0.369, 0.631, 0.476)
Te (0.631, 0.369, 0.524)
Te (0.631, 0.369, 0.976)
Mo (0.000, 0.000, 0.000)
Mo (0.000, 0.000, 0.500)
Au (0.456, 0.544, 0.250)
Au (0.544, 0.456, 0.750)
Se (0.067, 0.933, 0.250)
Se (0.933, 0.067, 0.750)